Computed powder XRD pattern of TlCr2FeO10 for Cu Ka, from a crystal structure in Alexandria, relaxed with GGA+U.

Top 10 peaks for 2θ from 10° to 80°, low angle first:
2theta, d/Å, I/Imax
13.7, 6.463, 61
17.9, 4.961, 100
20.5, 4.325, 19
26.3, 3.392, 16
29.9, 2.991, 31
30.2, 2.962, 57
31.2, 2.867, 41
31.3, 2.855, 31
34.7, 2.584, 21
42.2, 2.140, 16

Structural model:
```
14
Lattice="5.335 -2.855 0.000 5.335 2.855 0.000 -2.512 0.000 6.463" Properties=species:S:1:pos:R:3 pbc="T T T"
Tl 0.000 0.000 0.000
Cr 3.610 0.000 0.973
Cr 4.547 0.000 5.490
Fe -1.256 0.000 3.232
O 0.398 0.000 3.439
O 4.345 1.453 1.574
O 1.978 0.000 1.251
O 3.812 1.453 4.890
O 1.343 0.000 5.864
O 6.813 0.000 0.599
O 4.345 -1.453 1.574
O 6.179 0.000 5.212
O 3.812 -1.453 4.890
O 7.759 0.000 3.024
```